Diffraction record for La2CrAgO6. The powder XRD pattern is computed, not measured: it uses a GGA+U-relaxed structure and a wavelength of 1.5418 Å.

Crystal structure
Lattice parameters (Å, degrees): 5.489 5.489 5.059 90.00 90.00 90.00
Atoms (fractional coordinates):
La  0.000  0.500  0.000
La  0.500  0.000  0.000
Cr  0.000  0.000  0.600
Ag  0.500  0.500  0.523
O  0.000  0.000  0.259
O  0.223  0.223  0.730
O  0.223  0.777  0.730
O  0.500  0.500  0.099
O  0.777  0.223  0.730
O  0.777  0.777  0.730

Principal peaks in the range 5 to 70 degrees two-theta, in order of rising 2θ:
two_theta  I/Imax
17.53  11
29.00  100
32.63  35
46.81  21
48.97  27
56.01  30